Record 1
For Er3Ga5, a DFT-relaxed cell (PBE, Alexandria) gives the computed PXRD pattern in this record (a wavelength of 1.5418 Å).
Intensities are scaled so that the largest is 100.

Main lines, in order of rising 2θ (2θ from 15° to 90°):
d = 3.143 Å, 28.40°, I = 53.9; d = 2.931 Å, 30.50°, I = 43.9; d = 2.800 Å, 31.96°, I = 66.1; d = 2.672 Å, 33.54°, I = 80.4; d = 2.570 Å, 34.91°, I = 55.9; d = 2.505 Å, 35.85°, I = 100.0; d = 2.445 Å, 36.75°, I = 73.9; d = 2.410 Å, 37.31°, I = 87.9; d = 2.367 Å, 38.01°, I = 82.2; d = 2.166 Å, 41.71°, I = 65.3

```
Er3Ga5
1.0
11.3510 0.0000 0.0000
0.0000 9.6396 0.0000
0.0000 0.0000 6.0685
Er Ga
12 20
Direct
0.0740 0.2500 0.1528
0.1479 0.5102 0.6098
0.1479 0.9898 0.6098
0.3521 0.0102 0.1098
0.3521 0.4898 0.1098
0.4260 0.7500 0.6528
0.5740 0.2500 0.3472
0.6479 0.5102 0.8902
0.6479 0.9898 0.8902
0.8521 0.0102 0.3902
0.8521 0.4898 0.3902
0.9260 0.7500 0.8472
0.0064 0.2500 0.6282
0.0904 0.5521 0.1266
0.0904 0.9479 0.1266
0.2001 0.7500 0.8973
0.2487 0.7500 0.3263
0.2513 0.2500 0.8263
0.2999 0.2500 0.3973
0.4096 0.0521 0.6266
0.4096 0.4479 0.6266
0.4936 0.7500 0.1282
0.5064 0.2500 0.8718
0.5904 0.5521 0.3734
0.5904 0.9479 0.3734
0.7001 0.7500 0.6027
0.7487 0.7500 0.1737
0.7513 0.2500 0.6737
0.7999 0.2500 0.1027
0.9096 0.0521 0.8734
0.9096 0.4479 0.8734
0.9936 0.7500 0.3718
```



Record 2
For CaCdInI5, a DFT-relaxed cell (PBE, Alexandria) gives the computed PXRD pattern in this record (a wavelength of 1.5418 Å).
Intensities are scaled so that the largest is 100.

Main lines, in order of rising 2θ (2θ from 15° to 90°):
d = 4.524 Å, 19.62°, I = 33.0; d = 4.111 Å, 21.62°, I = 75.3; d = 3.765 Å, 23.63°, I = 55.5; d = 3.644 Å, 24.43°, I = 56.8; d = 3.584 Å, 24.84°, I = 100.0; d = 3.320 Å, 26.85°, I = 38.8; d = 2.952 Å, 30.28°, I = 41.7; d = 2.707 Å, 33.09°, I = 34.6; d = 2.583 Å, 34.73°, I = 48.1; d = 2.262 Å, 39.86°, I = 40.9

```
CaCdInI5
1.0
5.1686 -6.7647 0.0000
5.1686 6.7647 0.0000
-4.5956 0.0000 10.3894
Ca Cd In I
2 2 2 10
Direct
0.0000 0.0000 0.0000
0.0000 0.0000 0.5000
0.3209 0.6791 0.7500
0.6791 0.3209 0.2500
0.3417 0.6583 0.2500
0.6583 0.3417 0.7500
0.0773 0.6600 0.8812
0.0895 0.9105 0.2500
0.2626 0.3729 0.5501
0.3400 0.9227 0.6188
0.3729 0.2626 0.0501
0.6271 0.7374 0.9499
0.6600 0.0773 0.3812
0.7374 0.6271 0.4499
0.9105 0.0895 0.7500
0.9227 0.3400 0.1188
```



Record 3
For ZrBIrOs2, a DFT-relaxed cell (PBE, Alexandria) gives the computed PXRD pattern in this record (a wavelength of 1.5418 Å).
Intensities are scaled so that the largest is 100.

Main lines, in order of rising 2θ (2θ from 15° to 90°):
d = 4.174 Å, 21.29°, I = 5.3; d = 2.935 Å, 30.46°, I = 3.1; d = 2.401 Å, 37.46°, I = 100.0; d = 2.087 Å, 43.36°, I = 34.9; d = 2.063 Å, 43.88°, I = 16.9; d = 1.476 Å, 62.99°, I = 11.6; d = 1.467 Å, 63.39°, I = 22.7; d = 1.257 Å, 75.65°, I = 26.2; d = 1.247 Å, 76.39°, I = 12.8; d = 1.200 Å, 79.92°, I = 11.8

```
ZrBIrOs2
1.0
4.1738 0.0000 0.0000
0.0000 4.1738 0.0000
0.0000 0.0000 4.1267
Zr B Ir Os
1 1 1 2
Direct
0.0000 0.0000 0.0000
0.5000 0.5000 0.5000
0.5000 0.5000 0.0000
0.0000 0.5000 0.5000
0.5000 0.0000 0.5000
```